(1)
Structure and calculated powder XRD pattern of Tb3Mg7Cd2 (a cell relaxed with PBE; copper Kα).
No peak broadening, texture or thermal motion is included.

Largest 10 diffraction maxima, low angle first, 10 to 90 degrees two-theta:
2θ/deg	I_rel
17.32	17
18.43	40
27.59	28
29.74	79
35.22	100
52.79	16
56.39	25
56.78	14
61.77	16
88.48	14

Cell and atoms:
```
data_Tb3Mg7Cd2
_cell_length_a 6.0073
_cell_length_b 6.0073
_cell_length_c 28.8894
_cell_angle_alpha 90.00
_cell_angle_beta 90.00
_cell_angle_gamma 120.00
_space_group_name_H-M_alt 'R -3 m'
_space_group_IT_number 166
_space_group_name_Hall '-R 3 2"'
loop_
_atom_site_label
_atom_site_type_symbol
_atom_site_fract_x
_atom_site_fract_y
_atom_site_fract_z
Tb1 Tb 0.0000 0.0000 0.0000
Tb2 Tb 0.0000 0.0000 0.1445
Mg1 Mg 0.0000 0.0000 0.5000
Mg2 Mg 0.0046 0.5023 0.9175
Cd1 Cd 0.0000 0.0000 0.3343
```

(2)
Structure and calculated powder XRD pattern of Ac2GeSe5 (a cell relaxed with PBE; copper Kα).
No peak broadening, texture or thermal motion is included.

Largest 10 diffraction maxima, low angle first, 10 to 90 degrees two-theta:
2θ/deg	I_rel
12.09	28
20.83	41
21.58	56
22.50	56
23.92	77
30.40	41
33.72	65
34.74	100
38.69	30
40.46	25

Cell and atoms:
```
data_Ac2GeSe5
_cell_length_a 12.525
_cell_length_b 9.309
_cell_length_c 9.339
_cell_angle_alpha 90.00
_cell_angle_beta 108.86
_cell_angle_gamma 90.00
_space_group_name_H-M_alt 'P 1 21/c 1'
_space_group_IT_number 14
_space_group_name_Hall '-P 2ybc'
loop_
_atom_site_label
_atom_site_type_symbol
_atom_site_fract_x
_atom_site_fract_y
_atom_site_fract_z
Ac1 Ac 0.029 0.127 0.233
Ac2 Ac 0.373 0.136 0.053
Ge1 Ge 0.305 0.588 0.028
Se1 Se 0.109 0.613 0.001
Se2 Se 0.111 0.119 0.948
Se3 Se 0.293 0.095 0.337
Se4 Se 0.372 0.699 0.446
Se5 Se 0.421 0.057 0.738
```

(3)
Structure and calculated powder XRD pattern of Tb10Er4Pu (a cell relaxed with PBE; copper Kα).
No peak broadening, texture or thermal motion is included.

Largest 10 diffraction maxima, low angle first, 10 to 90 degrees two-theta:
2θ/deg	I_rel
28.16	39
30.95	41
31.84	98
32.43	100
34.39	43
36.01	20
41.41	43
45.64	25
58.23	25
68.06	45

Cell and atoms:
```
data_Tb10Er4Pu
_cell_length_a 11.244
_cell_length_b 11.244
_cell_length_c 7.673
_cell_angle_alpha 90.00
_cell_angle_beta 90.00
_cell_angle_gamma 90.00
_space_group_name_H-M_alt 'I 4/m m m'
_space_group_IT_number 139
_space_group_name_Hall '-I 4 2'
loop_
_atom_site_label
_atom_site_type_symbol
_atom_site_fract_x
_atom_site_fract_y
_atom_site_fract_z
Tb1 Tb 0.000 0.210 0.215
Tb2 Tb 0.000 0.500 0.250
Er1 Er 0.232 0.232 0.500
Pu1 Pu 0.000 0.000 0.500
```